Starting from the PBE geometry in Alexandria, the XRD peak list of Ce3Zn9Cd2 was calculated for a wavelength of 1.5418 Å.
No peak broadening, texture or thermal motion is included.

Crystal structure
```
data_Ce3Zn9Cd2
_space_group_name_H-M_alt 'I m m m'
_space_group_IT_number 71
_space_group_name_Hall '-I 2 2'
_cell_length_a 4.559
_cell_length_b 8.829
_cell_length_c 13.677
_cell_angle_alpha 90.00
_cell_angle_beta 90.00
_cell_angle_gamma 90.00
loop_
_atom_site_label
_atom_site_fract_x
_atom_site_fract_y
_atom_site_fract_z
_atom_site_occupancy
Ce1 0.000 0.000 0.000 1
Ce2 0.000 0.000 0.290 1
Zn1 0.000 0.283 0.146 1
Zn2 0.000 0.360 0.338 1
Zn3 0.000 0.500 0.000 1
Cd1 0.000 0.184 0.500 1
```

Top 10 peaks for 5 to 70 degrees two-theta, by intensity:
34.45°, d = 2.603 Å, I = 100.0, hkl 1 2 3
39.54°, d = 2.279 Å, I = 76.4, hkl 2 0 0
36.34°, d = 2.472 Å, I = 48.6, hkl 0 3 3
34.32°, d = 2.613 Å, I = 44.9, hkl 1 1 4
38.73°, d = 2.325 Å, I = 39.4, hkl 1 3 2
33.14°, d = 2.703 Å, I = 21.7, hkl 0 2 4
67.20°, d = 1.393 Å, I = 19.4, hkl 1 4 7
68.45°, d = 1.371 Å, I = 18.9, hkl 3 2 3
54.78°, d = 1.676 Å, I = 16.9, hkl 2 3 3
57.15°, d = 1.612 Å, I = 16.3, hkl 2 0 6